1.
# Ho2Sc2Hg
Simulated powder diffractogram, λ = 1.5418 Å (Cu Kα). Input: DFT lattice parameters and positions (PBE).
Lines closer than 0.1° are merged.

Main lines, low angle first (10° ≤ 2θ ≤ 90°):
Position (°2θ)  I/Imax
18.55  59
26.11  38
34.40  100
36.82  44
41.53  16
45.67  27
60.02  20
64.78  32

Crystal structure
Unit cell a=12.419 b=12.419 c=12.419 alpha=157.33 beta=157.33 gamma=32.28
Element x y z (fractional)
Ho 0.050 0.300 0.750
Ho 0.300 0.050 0.250
Ho 0.700 0.950 0.750
Ho 0.950 0.700 0.250
Sc 0.200 0.450 0.750
Sc 0.450 0.200 0.250
Sc 0.550 0.800 0.750
Sc 0.800 0.550 0.250
Hg 0.125 0.875 0.250
Hg 0.875 0.125 0.750

2.
# AlCu2O4
Simulated powder diffractogram, λ = 1.5418 Å (Cu Kα). Input: DFT lattice parameters and positions (PBE).
Lines closer than 0.1° are merged.

Main lines, low angle first (10° ≤ 2θ ≤ 90°):
Position (°2θ)  I/Imax
19.28  58
32.32  52
39.14  100
39.75  76
49.65  27
63.11  37
65.24  19
85.67  17

Crystal structure
Unit cell a=6.135 b=6.135 c=6.135 alpha=129.73 beta=129.73 gamma=73.84
Element x y z (fractional)
Al 0.375 0.125 0.250
Al 0.625 0.875 0.750
Cu 0.000 0.000 0.500
Cu 0.000 0.500 0.000
Cu 0.000 0.500 0.500
Cu 0.500 0.500 0.000
O 0.027 0.904 0.760
O 0.232 0.473 0.376
O 0.356 0.732 0.260
O 0.404 0.144 0.876
O 0.596 0.856 0.124
O 0.644 0.268 0.740
O 0.768 0.527 0.624
O 0.973 0.096 0.240